Entry 1:
# Ba2PaAs3O12
Theoretical X-ray powder pattern, Cu Kα. Input: a cell relaxed with PBE.
No peak broadening, texture or thermal motion is included.

Atomic structure:
```
data_Ba2PaAs3O12
_cell_length_a 6.9266
_cell_length_b 6.9266
_cell_length_c 18.1113
_cell_angle_alpha 90.00
_cell_angle_beta 90.00
_cell_angle_gamma 120.00
_space_group_name_H-M_alt 'R -3 m'
_space_group_IT_number 166
_space_group_name_Hall '-R 3 2"'
loop_
_atom_site_label
_atom_site_fract_x
_atom_site_fract_y
_atom_site_fract_z
_atom_site_occupancy
Ba1 0.0000 0.0000 0.1067 1
Pa1 0.0000 0.0000 0.5000 1
As1 0.0000 0.5000 0.0000 1
O1 0.0256 0.5128 0.1028 1
O2 0.0601 0.5300 0.3416 1
```

Main lines, sorted by position (2θ = 10–80°):
2θ = 17.74°, d 5.001, I 37, hkl 0 1 2; 2θ = 25.72°, d 3.463, I 49, hkl 1 1 0; 2θ = 28.79°, d 3.101, I 88, hkl 0 1 5; 2θ = 29.74°, d 3.004, I 100, hkl 1 1 3; 2θ = 31.42°, d 2.847, I 61, hkl 2 0 2; 2θ = 52.86°, d 1.732, I 48, hkl 2 2 0

Entry 2:
# Ni2Ir2W3
Theoretical X-ray powder pattern, Cu Kα. Input: a cell relaxed with PBE.
No peak broadening, texture or thermal motion is included.

Atomic structure:
```
data_Ni2Ir2W3
_cell_length_a 3.970
_cell_length_b 18.162
_cell_length_c 2.732
_cell_angle_alpha 90.00
_cell_angle_beta 90.00
_cell_angle_gamma 90.00
_space_group_name_H-M_alt 'C m m m'
_space_group_IT_number 65
_space_group_name_Hall '-C 2 2'
loop_
_atom_site_label
_atom_site_fract_x
_atom_site_fract_y
_atom_site_fract_z
_atom_site_occupancy
Ni1 0.000 0.216 0.000 1
Ir1 0.000 0.076 0.000 1
W1 0.000 0.345 0.500 1
W2 0.000 0.500 0.500 1
```

Main lines, sorted by position (2θ = 10–80°):
2θ = 33.44°, d 2.680, I 24, hkl 1 5 0; 2θ = 40.38°, d 2.233, I 100, hkl 1 1 1; 2θ = 41.58°, d 2.172, I 81, hkl 1 7 0; 2θ = 44.68°, d 2.028, I 56, hkl 0 6 1; 2θ = 45.71°, d 1.985, I 35, hkl 2 0 0; 2θ = 65.84°, d 1.419, I 36, hkl 2 6 1

Entry 3:
# Eu2Si3Au
Theoretical X-ray powder pattern, Cu Kα. Input: a cell relaxed with PBE.
No peak broadening, texture or thermal motion is included.

Atomic structure:
```
data_Eu2Si3Au
_cell_length_a 4.1882
_cell_length_b 4.1882
_cell_length_c 8.8177
_cell_angle_alpha 90.00
_cell_angle_beta 90.00
_cell_angle_gamma 120.00
_space_group_name_H-M_alt 'P -6 m 2'
_space_group_IT_number 187
_space_group_name_Hall 'P -6 2'
loop_
_atom_site_label
_atom_site_fract_x
_atom_site_fract_y
_atom_site_fract_z
_atom_site_occupancy
Eu1 0.0000 0.0000 0.2473 1
Si1 0.3333 0.6667 0.0000 1
Si2 0.6667 0.3333 0.0000 1
Si3 0.6667 0.3333 0.5000 1
Au1 0.3333 0.6667 0.5000 1
```

Main lines, sorted by position (2θ = 10–80°):
2θ = 10.03°, d 8.818, I 26, hkl 0 0 1; 2θ = 26.57°, d 3.354, I 21, hkl 1 0 1; 2θ = 31.95°, d 2.801, I 100, hkl 1 0 2; 2θ = 43.20°, d 2.094, I 34, hkl 1 1 0; 2θ = 54.73°, d 1.677, I 22, hkl 2 0 2; 2θ = 61.03°, d 1.518, I 24, hkl 1 1 4

Entry 4:
# Sr2LiFe2N3
Theoretical X-ray powder pattern, Cu Kα. Input: a cell relaxed with PBE.
No peak broadening, texture or thermal motion is included.

Atomic structure:
```
data_Sr2LiFe2N3
_cell_length_a 6.531
_cell_length_b 11.252
_cell_length_c 6.545
_cell_angle_alpha 90.00
_cell_angle_beta 92.06
_cell_angle_gamma 90.00
_space_group_name_H-M_alt 'C 1 2/c 1'
_space_group_IT_number 15
_space_group_name_Hall '-C 2yc'
loop_
_atom_site_label
_atom_site_fract_x
_atom_site_fract_y
_atom_site_fract_z
_atom_site_occupancy
Sr1 0.248 0.070 0.401 1
Li1 0.000 0.193 0.750 1
Fe1 0.132 0.296 0.103 1
N1 0.000 0.411 0.250 1
N2 0.140 0.140 0.015 1
```

Main lines, sorted by position (2θ = 10–80°):
2θ = 27.31°, d 3.265, I 78, hkl 2 0 0; 2θ = 30.48°, d 2.933, I 77, hkl 1 3 -1; 2θ = 30.93°, d 2.891, I 100, hkl 1 3 1; 2θ = 31.18°, d 2.869, I 69, hkl 1 1 -2; 2θ = 32.05°, d 2.792, I 92, hkl 1 1 2; 2θ = 34.71°, d 2.584, I 53, hkl 0 4 1

Entry 5:
# RbLaS2O8
Theoretical X-ray powder pattern, Cu Kα. Input: a cell relaxed with PBE.
No peak broadening, texture or thermal motion is included.

Atomic structure:
```
data_RbLaS2O8
_cell_length_a 5.4875
_cell_length_b 5.4875
_cell_length_c 8.6537
_cell_angle_alpha 90.00
_cell_angle_beta 90.00
_cell_angle_gamma 120.00
_space_group_name_H-M_alt 'P -3'
_space_group_IT_number 147
_space_group_name_Hall '-P 3'
loop_
_atom_site_label
_atom_site_fract_x
_atom_site_fract_y
_atom_site_fract_z
_atom_site_occupancy
Rb1 0.0000 0.0000 0.0000 1
La1 0.0000 0.0000 0.5000 1
S1 0.3333 0.6667 0.7377 1
O1 0.1230 0.3823 0.6754 1
O2 0.3333 0.6667 0.9061 1
```

Main lines, sorted by position (2θ = 10–80°):
2θ = 18.67°, d 4.752, I 57, hkl 1 0 0; 2θ = 21.33°, d 4.166, I 50, hkl 0 1 1; 2θ = 27.89°, d 3.199, I 100, hkl 0 1 2; 2θ = 32.64°, d 2.744, I 44, hkl 1 1 0; 2θ = 43.45°, d 2.083, I 35, hkl 0 2 2; 2θ = 55.38°, d 1.659, I 25, hkl 2 1 2

Entry 6:
# Pr2Sm7Y3
Theoretical X-ray powder pattern, Cu Kα. Input: a cell relaxed with PBE.
No peak broadening, texture or thermal motion is included.

Atomic structure:
```
data_Pr2Sm7Y3
_cell_length_a 3.647
_cell_length_b 5.798
_cell_length_c 19.595
_cell_angle_alpha 86.23
_cell_angle_beta 84.81
_cell_angle_gamma 89.99
_space_group_name_H-M_alt 'P -1'
_space_group_IT_number 2
_space_group_name_Hall '-P 1'
loop_
_atom_site_label
_atom_site_fract_x
_atom_site_fract_y
_atom_site_fract_z
_atom_site_occupancy
Pr1 0.140 0.208 0.210 1
Sm1 0.084 0.676 0.324 1
Sm2 0.228 0.241 0.042 1
Sm3 0.433 0.827 0.640 1
Sm4 0.500 0.500 0.500 1
Y1 0.000 0.000 0.500 1
Y2 0.326 0.280 0.859 1
```

Main lines, sorted by position (2θ = 10–80°):
2θ = 29.52°, d 3.026, I 53, hkl 1 1 2; 2θ = 30.01°, d 2.978, I 94, hkl 1 -1 2; 2θ = 30.68°, d 2.914, I 85, hkl 0 1 6; 2θ = 30.95°, d 2.889, I 75, hkl 0 2 1; 2θ = 31.56°, d 2.835, I 100, hkl 1 1 -2; 2θ = 32.69°, d 2.739, I 56, hkl 1 1 4

Entry 7:
# TbZr3Zn4
Theoretical X-ray powder pattern, Cu Kα. Input: a cell relaxed with PBE.
No peak broadening, texture or thermal motion is included.

Atomic structure:
```
data_TbZr3Zn4
_cell_length_a 4.8046
_cell_length_b 4.8046
_cell_length_c 23.5233
_cell_angle_alpha 90.00
_cell_angle_beta 90.00
_cell_angle_gamma 120.00
_space_group_name_H-M_alt 'R -3 m'
_space_group_IT_number 166
_space_group_name_Hall '-R 3 2"'
loop_
_atom_site_label
_atom_site_fract_x
_atom_site_fract_y
_atom_site_fract_z
_atom_site_occupancy
Tb1 0.0000 0.0000 0.0000 1
Zr1 0.0000 0.0000 0.2470 1
Zr2 0.0000 0.0000 0.5000 1
Zn1 0.0000 0.0000 0.1257 1
Zn2 0.0000 0.0000 0.3763 1
```

Main lines, sorted by position (2θ = 10–80°):
2θ = 26.24°, d 3.397, I 6, hkl 1 0 4; 2θ = 37.44°, d 2.402, I 100, hkl 1 1 0; 2θ = 53.99°, d 1.698, I 17, hkl 2 0 8; 2θ = 60.99°, d 1.519, I 2, hkl 2 1 4; 2θ = 67.55°, d 1.387, I 33, hkl 3 0 0; 2θ = 79.87°, d 1.201, I 10, hkl 2 2 0

Entry 8:
# CeSmRhBr
Theoretical X-ray powder pattern, Cu Kα. Input: a cell relaxed with PBE.
No peak broadening, texture or thermal motion is included.

Atomic structure:
```
data_CeSmRhBr
_cell_length_a 4.0299
_cell_length_b 4.0299
_cell_length_c 23.7208
_cell_angle_alpha 90.00
_cell_angle_beta 90.00
_cell_angle_gamma 120.00
_space_group_name_H-M_alt 'R 3 m'
_space_group_IT_number 160
_space_group_name_Hall 'R 3 -2"'
loop_
_atom_site_label
_atom_site_fract_x
_atom_site_fract_y
_atom_site_fract_z
_atom_site_occupancy
Ce1 0.0000 0.0000 0.0000 1
Sm1 0.0000 0.0000 0.7978 1
Rh1 0.0000 0.0000 0.3954 1
Br1 0.0000 0.0000 0.5649 1
```

Main lines, sorted by position (2θ = 10–80°):
2θ = 11.19°, d 7.907, I 28, hkl 0 0 3; 2θ = 26.62°, d 3.348, I 21, hkl 0 1 2; 2θ = 29.70°, d 3.008, I 23, hkl 1 0 4; 2θ = 31.83°, d 2.811, I 100, hkl 0 1 5; 2θ = 44.99°, d 2.015, I 44, hkl 1 1 0; 2θ = 46.28°, d 1.962, I 23, hkl 1 0 10

What did the third record say?
# Eu2Si3Au
Theoretical X-ray powder pattern, Cu Kα. Input: a cell relaxed with PBE.
No peak broadening, texture or thermal motion is included.

Atomic structure:
```
data_Eu2Si3Au
_cell_length_a 4.1882
_cell_length_b 4.1882
_cell_length_c 8.8177
_cell_angle_alpha 90.00
_cell_angle_beta 90.00
_cell_angle_gamma 120.00
_space_group_name_H-M_alt 'P -6 m 2'
_space_group_IT_number 187
_space_group_name_Hall 'P -6 2'
loop_
_atom_site_label
_atom_site_fract_x
_atom_site_fract_y
_atom_site_fract_z
_atom_site_occupancy
Eu1 0.0000 0.0000 0.2473 1
Si1 0.3333 0.6667 0.0000 1
Si2 0.6667 0.3333 0.0000 1
Si3 0.6667 0.3333 0.5000 1
Au1 0.3333 0.6667 0.5000 1
```

Main lines, sorted by position (2θ = 10–80°):
2θ = 10.03°, d 8.818, I 26, hkl 0 0 1; 2θ = 26.57°, d 3.354, I 21, hkl 1 0 1; 2θ = 31.95°, d 2.801, I 100, hkl 1 0 2; 2θ = 43.20°, d 2.094, I 34, hkl 1 1 0; 2θ = 54.73°, d 1.677, I 22, hkl 2 0 2; 2θ = 61.03°, d 1.518, I 24, hkl 1 1 4